Diffraction record for Ga3Os. The X-ray diffraction stick pattern is simulated, not measured: it uses the GGA-PBE geometry in the Materials Project and Cu Kα.

Principal peaks in the range 10 to 90 degrees two-theta, in order of rising 2θ:
| 2θ/deg | d [Å] | I_rel |
| --- | --- | --- |
| 18.76 | 4.731 | 63 |
| 23.19 | 3.836 | 51 |
| 40.54 | 2.225 | 100 |
| 41.13 | 2.194 | 15 |
| 43.49 | 2.081 | 25 |
| 43.68 | 2.072 | 40 |
| 44.29 | 2.045 | 16 |
| 64.67 | 1.441 | 16 |
| 71.56 | 1.319 | 17 |
| 84.52 | 1.146 | 21 |

Cell and atoms:
```
data_Ga3Os
_chemical_formula_sum 'Ga12 Os4'
_cell_length_a 6.554
_cell_length_b 6.554
_cell_length_c 6.837
_cell_angle_alpha 90.00
_cell_angle_beta 90.00
_cell_angle_gamma 90.00
_symmetry_space_group_name_H-M 'P 1'
_symmetry_Int_Tables_number 1
loop_
_symmetry_equiv_pos_as_xyz
'x,y,z'
loop_
_atom_site_label
_atom_site_type_symbol
_atom_site_fract_x
_atom_site_fract_y
_atom_site_fract_z
Ga1 Ga 0.000 0.500 0.000
Ga2 Ga 0.000 0.500 0.500
Ga3 Ga 0.155 0.155 0.235
Ga4 Ga 0.155 0.155 0.765
Ga5 Ga 0.345 0.655 0.265
Ga6 Ga 0.345 0.655 0.735
Ga7 Ga 0.500 0.000 0.000
Ga8 Ga 0.500 0.000 0.500
Ga9 Ga 0.655 0.345 0.265
Ga10 Ga 0.655 0.345 0.735
Ga11 Ga 0.845 0.845 0.235
Ga12 Ga 0.845 0.845 0.765
Os1 Os 0.160 0.840 0.000
Os2 Os 0.340 0.340 0.500
Os3 Os 0.660 0.660 0.500
Os4 Os 0.840 0.160 0.000
```